No. 1
Calculated PXRD pattern of Er3Zr3FeBi2 for copper Kα, from a structure optimized by DFT (PBE).
Kinematic intensities with the Lorentz-polarization factor, no thermal factor.

Top 10 peaks for 2θ from 10° to 80°, in order of rising 2θ:
22.2°, d = 4.012 Å, I = 199
31.6°, d = 2.833 Å, I = 1000
34.2°, d = 2.625 Å, I = 826
38.9°, d = 2.317 Å, I = 338
41.1°, d = 2.196 Å, I = 242
45.3°, d = 2.001 Å, I = 174
57.9°, d = 1.592 Å, I = 155
61.2°, d = 1.514 Å, I = 181
62.7°, d = 1.481 Å, I = 182
65.9°, d = 1.418 Å, I = 241

abc: 8.025 8.025 4.002
angles: 90.00 90.00 120.00
Fractional coordinates of all 9 atoms:
Er 0.000 0.612 0.000
Er 0.388 0.388 0.000
Er 0.612 0.000 0.000
Zr 0.000 0.222 0.500
Zr 0.222 0.000 0.500
Zr 0.778 0.778 0.500
Fe 0.000 0.000 0.000
Bi 0.333 0.667 0.500
Bi 0.667 0.333 0.500

***

No. 2
Calculated PXRD pattern of Er2GaBiS6 for copper Kα, from a structure optimized by DFT (PBE).
Kinematic intensities with the Lorentz-polarization factor, no thermal factor.

Top 10 peaks for 2θ from 10° to 80°, in order of rising 2θ:
15.4°, d = 5.743 Å, I = 475
21.0°, d = 4.233 Å, I = 392
22.0°, d = 4.042 Å, I = 457
23.6°, d = 3.776 Å, I = 886
27.7°, d = 3.216 Å, I = 1000
28.8°, d = 3.101 Å, I = 421
31.2°, d = 2.868 Å, I = 417
33.0°, d = 2.717 Å, I = 561
34.9°, d = 2.568 Å, I = 622
38.4°, d = 2.342 Å, I = 554

abc: 11.486 3.893 12.745
angles: 90.00 116.67 90.00
Fractional coordinates of all 20 atoms:
Er 0.056 0.250 0.146
Er 0.259 0.250 0.725
Er 0.741 0.750 0.275
Er 0.944 0.750 0.854
Ga 0.168 0.750 0.402
Ga 0.832 0.250 0.598
Bi 0.412 0.250 0.112
Bi 0.588 0.750 0.888
S 0.038 0.250 0.763
S 0.153 0.750 0.572
S 0.157 0.750 0.066
S 0.264 0.250 0.370
S 0.359 0.750 0.897
S 0.495 0.250 0.728
S 0.505 0.750 0.272
S 0.641 0.250 0.103
S 0.736 0.750 0.630
S 0.843 0.250 0.934
S 0.847 0.250 0.428
S 0.962 0.750 0.237

***

No. 3
Calculated PXRD pattern of Ho5ErBi6 for copper Kα, from a structure optimized by DFT (PBE).
Kinematic intensities with the Lorentz-polarization factor, no thermal factor.

Top 10 peaks for 2θ from 10° to 80°, in order of rising 2θ:
24.5°, d = 3.629 Å, I = 25
28.4°, d = 3.143 Å, I = 1000
40.6°, d = 2.222 Å, I = 781
48.0°, d = 1.895 Å, I = 15
50.3°, d = 1.815 Å, I = 283
58.8°, d = 1.571 Å, I = 134
64.6°, d = 1.442 Å, I = 7
66.5°, d = 1.406 Å, I = 372
73.9°, d = 1.283 Å, I = 278
79.2°, d = 1.210 Å, I = 6

abc: 7.699 7.699 7.698
angles: 99.59 99.59 120.00
Fractional coordinates of all 12 atoms:
Ho 0.000 0.000 0.000
Ho 0.167 0.833 0.500
Ho 0.333 0.667 0.000
Ho 0.667 0.333 0.000
Ho 0.833 0.167 0.500
Er 0.500 0.500 0.500
Bi 0.084 0.417 0.250
Bi 0.251 0.251 0.750
Bi 0.417 0.084 0.250
Bi 0.583 0.916 0.750
Bi 0.749 0.749 0.250
Bi 0.916 0.583 0.750

***

No. 4
Calculated PXRD pattern of HoEr5Bi2Os for copper Kα, from a structure optimized by DFT (PBE).
Kinematic intensities with the Lorentz-polarization factor, no thermal factor.

Top 10 peaks for 2θ from 10° to 80°, in order of rising 2θ:
30.3°, d = 2.950 Å, I = 1000
32.9°, d = 2.726 Å, I = 844
33.2°, d = 2.697 Å, I = 499
37.8°, d = 2.378 Å, I = 500
39.6°, d = 2.273 Å, I = 626
42.8°, d = 2.113 Å, I = 297
55.2°, d = 1.663 Å, I = 237
58.4°, d = 1.580 Å, I = 288
60.7°, d = 1.526 Å, I = 338
63.7°, d = 1.461 Å, I = 170

abc: 4.225 8.240 8.240
angles: 120.01 90.00 90.00
Fractional coordinates of all 9 atoms:
Ho 0.000 0.000 0.000
Er 0.000 0.534 0.767
Er 0.000 0.767 0.534
Er 0.500 0.154 0.767
Er 0.500 0.381 0.381
Er 0.500 0.767 0.154
Bi 0.000 0.100 0.434
Bi 0.000 0.434 0.100
Os 0.500 0.766 0.766

***

No. 5
Calculated PXRD pattern of Ho5ErBi2Os for copper Kα, from a structure optimized by DFT (PBE).
Kinematic intensities with the Lorentz-polarization factor, no thermal factor.

Top 10 peaks for 2θ from 10° to 80°, in order of rising 2θ:
30.2°, d = 2.955 Å, I = 1000
32.8°, d = 2.731 Å, I = 857
33.1°, d = 2.704 Å, I = 503
37.7°, d = 2.385 Å, I = 507
39.6°, d = 2.278 Å, I = 638
42.7°, d = 2.115 Å, I = 300
55.1°, d = 1.666 Å, I = 239
58.3°, d = 1.582 Å, I = 291
60.5°, d = 1.530 Å, I = 344
63.5°, d = 1.465 Å, I = 171

abc: 4.231 8.259 8.259
angles: 119.98 90.00 90.00
Fractional coordinates of all 9 atoms:
Ho 0.000 0.000 0.000
Ho 0.000 0.226 0.613
Ho 0.000 0.613 0.226
Ho 0.500 0.613 0.846
Ho 0.500 0.846 0.613
Er 0.500 0.380 0.380
Bi 0.500 0.280 0.947
Bi 0.500 0.947 0.280
Os 0.000 0.612 0.612

***

No. 6
Calculated PXRD pattern of Ho3Er3BiSbOs for copper Kα, from a structure optimized by DFT (PBE).
Kinematic intensities with the Lorentz-polarization factor, no thermal factor.

Top 10 peaks for 2θ from 10° to 80°, in order of rising 2θ:
12.5°, d = 7.108 Å, I = 168
30.5°, d = 2.934 Å, I = 1000
33.0°, d = 2.712 Å, I = 879
33.4°, d = 2.687 Å, I = 556
38.0°, d = 2.369 Å, I = 459
39.8°, d = 2.263 Å, I = 607
43.1°, d = 2.098 Å, I = 295
55.6°, d = 1.653 Å, I = 262
58.8°, d = 1.571 Å, I = 260
61.0°, d = 1.520 Å, I = 352

abc: 8.208 8.208 4.195
angles: 90.00 90.00 120.00
Fractional coordinates of all 9 atoms:
Ho 0.060 0.719 0.000
Ho 0.281 0.341 0.000
Ho 0.659 0.940 0.000
Er 0.433 0.098 0.500
Er 0.665 0.567 0.500
Er 0.902 0.335 0.500
Bi 0.000 0.000 0.500
Sb 0.333 0.667 0.500
Os 0.667 0.333 0.000

***

No. 7
Calculated PXRD pattern of HoErSc2Bi2 for copper Kα, from a structure optimized by DFT (PBE).
Kinematic intensities with the Lorentz-polarization factor, no thermal factor.

Top 10 peaks for 2θ from 10° to 80°, in order of rising 2θ:
21.5°, d = 4.128 Å, I = 390
28.8°, d = 3.103 Å, I = 1000
30.8°, d = 2.905 Å, I = 424
32.5°, d = 2.752 Å, I = 226
34.0°, d = 2.639 Å, I = 644
36.2°, d = 2.480 Å, I = 903
41.1°, d = 2.194 Å, I = 632
54.4°, d = 1.687 Å, I = 344
65.8°, d = 1.420 Å, I = 231
71.8°, d = 1.315 Å, I = 249

abc: 4.388 4.388 16.510
angles: 90.00 90.00 90.00
Fractional coordinates of all 12 atoms:
Ho 0.000 0.000 0.000
Ho 0.500 0.500 0.500
Er 0.000 0.000 0.648
Er 0.500 0.500 0.148
Sc 0.000 0.500 0.324
Sc 0.000 0.500 0.824
Sc 0.500 0.000 0.324
Sc 0.500 0.000 0.824
Bi 0.000 0.000 0.191
Bi 0.000 0.000 0.456
Bi 0.500 0.500 0.691
Bi 0.500 0.500 0.956

***

No. 8
Calculated PXRD pattern of Er2BiI4 for copper Kα, from a structure optimized by DFT (PBE).
Kinematic intensities with the Lorentz-polarization factor, no thermal factor.

Top 10 peaks for 2θ from 10° to 80°, in order of rising 2θ:
13.9°, d = 6.368 Å, I = 480
27.0°, d = 3.307 Å, I = 855
28.2°, d = 3.168 Å, I = 717
30.1°, d = 2.970 Å, I = 377
32.6°, d = 2.747 Å, I = 1000
32.8°, d = 2.729 Å, I = 248
35.6°, d = 2.522 Å, I = 324
39.0°, d = 2.311 Å, I = 980
46.9°, d = 1.939 Å, I = 669
58.4°, d = 1.581 Å, I = 290

abc: 3.877 3.877 19.105
angles: 90.00 90.00 120.00
Fractional coordinates of all 7 atoms:
Er 0.000 0.000 0.000
Er 0.333 0.667 0.275
Bi 0.667 0.333 0.572
I 0.000 0.000 0.164
I 0.000 0.000 0.697
I 0.667 0.333 0.385
I 0.667 0.333 0.888

***

Repeat the third record exactly.
Calculated PXRD pattern of Ho5ErBi6 for copper Kα, from a structure optimized by DFT (PBE).
Kinematic intensities with the Lorentz-polarization factor, no thermal factor.

Top 10 peaks for 2θ from 10° to 80°, in order of rising 2θ:
24.5°, d = 3.629 Å, I = 25
28.4°, d = 3.143 Å, I = 1000
40.6°, d = 2.222 Å, I = 781
48.0°, d = 1.895 Å, I = 15
50.3°, d = 1.815 Å, I = 283
58.8°, d = 1.571 Å, I = 134
64.6°, d = 1.442 Å, I = 7
66.5°, d = 1.406 Å, I = 372
73.9°, d = 1.283 Å, I = 278
79.2°, d = 1.210 Å, I = 6

abc: 7.699 7.699 7.698
angles: 99.59 99.59 120.00
Fractional coordinates of all 12 atoms:
Ho 0.000 0.000 0.000
Ho 0.167 0.833 0.500
Ho 0.333 0.667 0.000
Ho 0.667 0.333 0.000
Ho 0.833 0.167 0.500
Er 0.500 0.500 0.500
Bi 0.084 0.417 0.250
Bi 0.251 0.251 0.750
Bi 0.417 0.084 0.250
Bi 0.583 0.916 0.750
Bi 0.749 0.749 0.250
Bi 0.916 0.583 0.750

***

Which formula does entry 6 have?
Ho3Er3BiSbOs